Record 1
The following is a computed powder XRD pattern of PrGeI5. It was derived from a cell relaxed with GGA-PBE, using Cu Kα (λ = 1.5418 Å).

Main lines, most intense first (2θ = 10–90°):
two_theta	I_rel
10.8	100
27.6	83
25.5	52
28.0	40
29.2	40
40.2	35
35.8	33
39.8	26

Cell and atoms:
```
PrGeI5
1.0
9.111 0.000 0.000
0.000 4.486 0.000
-1.519 0.000 15.286
Pr Ge I
2 2 10
direct
0.105 0.250 0.150
0.895 0.750 0.850
0.390 0.750 0.388
0.610 0.250 0.612
0.106 0.250 0.789
0.164 0.250 0.373
0.186 0.750 0.011
0.369 0.750 0.569
0.439 0.250 0.192
0.561 0.750 0.808
0.631 0.250 0.431
0.814 0.250 0.989
0.836 0.750 0.627
0.894 0.750 0.211
```


Record 2
The following is a computed powder XRD pattern of Zr2ZnHg3. It was derived from a cell relaxed with GGA-PBE, using Cu Kα (λ = 1.5418 Å).

Main lines, most intense first (2θ = 10–90°):
two_theta	I_rel
35.7	100
37.9	71
38.1	36
28.1	26
47.8	24
71.4	22
53.2	20
21.7	20

Cell and atoms:
```
Zr2ZnHg3
1.0
3.181 0.000 0.000
0.000 4.723 0.000
0.000 0.000 8.228
Zr Zn Hg
2 1 3
direct
0.000 0.000 0.000
0.000 0.500 0.486
0.500 0.000 0.321
0.500 0.000 0.643
0.500 0.500 0.170
0.500 0.500 0.827
```


Record 3
The following is a computed powder XRD pattern of TaPRh2. It was derived from a cell relaxed with GGA-PBE, using Cu Kα (λ = 1.5418 Å).

Main lines, most intense first (2θ = 10–90°):
two_theta	I_rel
39.8	100
41.4	79
40.2	58
63.9	29
47.5	28
79.2	23
23.2	22
74.9	20

Cell and atoms:
```
TaPRh2
1.0
3.830 0.000 0.000
0.000 1.454 5.301
0.000 -1.454 5.301
Ta P Rh
1 1 2
direct
0.000 0.000 0.000
0.500 0.610 0.610
0.000 0.732 0.732
0.500 0.375 0.375
```


Record 4
The following is a computed powder XRD pattern of Nd4Ga2Rh. It was derived from a cell relaxed with GGA-PBE, using Cu Kα (λ = 1.5418 Å).

Main lines, most intense first (2θ = 10–90°):
two_theta	I_rel
34.9	100
35.2	24
35.4	24
24.7	19
63.2	18
62.9	18
50.8	17
85.1	11

Cell and atoms:
```
Nd4Ga2Rh
1.0
3.684 -5.105 0.000
3.684 5.105 0.000
0.000 0.000 5.072
Nd Ga Rh
4 2 1
direct
0.000 0.500 0.500
0.242 0.242 0.000
0.500 0.000 0.500
0.758 0.758 0.000
0.259 0.741 0.000
0.741 0.259 0.000
0.000 0.000 0.500
```